No. 1
The following is a calculated powder diffractogram of Mg5Si9. It was derived from a cell relaxed with PBE, using Cu Kα X-rays.
Intensities are scaled so that the largest is 100.

Cell and atoms:
```
28
Lattice="7.3904 0.0000 0.0000 3.6805 6.4964 0.0000 0.8210 1.5679 10.2911" Properties=species:S:1:pos:R:3 pbc="T T T"
Mg 0.0000 0.0000 0.0000
Mg 1.9153 3.2679 4.2279
Mg 3.5234 5.5263 6.2789
Mg 2.4091 3.2016 8.1864
Mg 4.5292 3.9112 1.3351
Mg 6.1330 6.3065 4.5955
Mg 4.3917 1.8741 6.2361
Mg 4.2742 1.2117 0.0755
Mg 7.7085 4.6224 9.7634
Mg 8.8509 5.2322 1.7158
Si 1.6782 2.3926 1.3361
Si 3.4128 5.3645 9.7646
Si 3.8844 6.0404 2.9183
Si 1.2815 1.4462 6.4174
Si 4.6270 3.9106 4.2008
Si 6.1694 6.3466 1.7752
Si 6.1076 6.2083 7.6206
Si 4.9753 4.1571 8.1062
Si 7.1055 7.2727 9.5508
Si 4.0111 1.4559 3.0314
Si 6.7885 3.9235 2.9383
Si 6.6150 3.6085 5.6482
Si 8.1835 5.3739 6.6838
Si 6.2983 1.7470 1.8943
Si 8.9479 6.2740 4.4605
Si 9.3746 6.9806 8.5950
Si 6.9718 2.4953 7.9383
Si 7.1117 1.3832 4.4958
```

Peak list (8 most intense, 10° ≤ 2θ ≤ 80°, by angle)
- d 2.646, intensity 34
- d 2.557, intensity 21
- d 2.433, intensity 21
- d 2.416, intensity 100
- d 2.403, intensity 62
- d 2.340, intensity 39
- d 2.299, intensity 26
- d 2.144, intensity 37

***

No. 2
The following is a calculated powder diffractogram of CeGa8Co2. It was derived from a cell relaxed with PBE, using Cu Kα X-rays.
Intensities are scaled so that the largest is 100.

Cell and atoms:
```
44
Lattice="12.4202 0.0000 0.0000 0.0000 14.2868 0.0000 0.0000 0.0000 4.0756" Properties=species:S:1:pos:R:3 pbc="T T T"
Ce 1.9480 2.5658 0.0000
Ce 4.2622 9.7092 0.0000
Ce 8.1581 4.5776 0.0000
Ce 10.4723 11.7210 0.0000
Ga 0.0000 0.0000 0.0000
Ga 0.0000 7.1434 2.0378
Ga 0.2792 12.3812 2.0378
Ga 0.6024 4.5544 2.0378
Ga 1.2295 10.6507 0.0000
Ga 1.9885 6.4986 0.0000
Ga 2.0378 8.8758 2.0378
Ga 2.0887 0.1487 2.0378
Ga 2.9664 11.7832 2.0378
Ga 3.2437 4.6398 2.0378
Ga 4.1214 7.2921 2.0378
Ga 4.1723 1.7324 2.0378
Ga 4.2216 13.6420 0.0000
Ga 4.9806 3.5073 0.0000
Ga 5.6078 11.6978 2.0378
Ga 5.9309 5.2378 2.0378
Ga 6.2101 0.0000 2.0378
Ga 6.2101 7.1434 0.0000
Ga 6.4894 9.0490 2.0378
Ga 6.8125 2.5890 2.0378
Ga 7.4397 10.7795 0.0000
Ga 8.1986 0.6448 0.0000
Ga 8.2479 12.5544 2.0378
Ga 8.2988 6.9947 2.0378
Ga 9.1765 9.6470 2.0378
Ga 9.4538 2.5036 2.0378
Ga 10.3315 14.1381 2.0378
Ga 10.3825 5.4110 2.0378
Ga 10.4317 7.7882 0.0000
Ga 11.1907 3.6361 0.0000
Ga 11.8179 9.7324 2.0378
Ga 12.1410 1.9056 2.0378
Co 0.4343 8.4794 0.0000
Co 1.9146 12.9082 0.0000
Co 4.2955 5.7648 0.0000
Co 5.7758 1.3360 0.0000
Co 6.6444 12.9508 0.0000
Co 8.1247 8.5220 0.0000
Co 10.5057 1.3786 0.0000
Co 11.9859 5.8074 0.0000
```

Peak list (8 most intense, 10° ≤ 2θ ≤ 80°, by angle)
- d 2.625, intensity 60
- d 2.480, intensity 80
- d 2.470, intensity 23
- d 2.434, intensity 29
- d 2.038, intensity 100
- d 2.033, intensity 22
- d 1.939, intensity 25
- d 1.405, intensity 17

***

No. 3
The following is a calculated powder diffractogram of MgCuN. It was derived from a cell relaxed with PBE, using Cu Kα X-rays.
Intensities are scaled so that the largest is 100.

Cell and atoms:
```
12
Lattice="7.7354 0.0000 0.0000 0.0000 3.2811 0.0000 0.0000 0.0000 5.5176" Properties=species:S:1:pos:R:3 pbc="T T T"
Mg 1.1513 0.8203 0.4627
Mg 2.7164 2.4608 3.2215
Mg 5.0190 0.8203 2.2961
Mg 6.5842 2.4608 5.0549
Cu 0.5198 0.8203 3.4698
Cu 3.3480 2.4608 0.7110
Cu 4.3875 0.8203 4.8066
Cu 7.2157 2.4608 2.0478
N 1.0127 2.4608 4.5249
N 2.8551 0.8203 1.7661
N 4.8804 2.4608 3.7515
N 6.7228 0.8203 0.9927
```

Peak list (8 most intense, 10° ≤ 2θ ≤ 80°, by angle)
- d 4.492, intensity 40
- d 3.868, intensity 30
- d 3.167, intensity 38
- d 2.598, intensity 23
- d 2.502, intensity 54
- d 2.279, intensity 30
- d 2.037, intensity 100
- d 1.884, intensity 26

***

No. 4
The following is a calculated powder diffractogram of Pb3W3N5. It was derived from a cell relaxed with PBE, using Cu Kα X-rays.
Intensities are scaled so that the largest is 100.

Cell and atoms:
```
22
Lattice="6.1925 0.0000 0.0000 -1.1768 7.8823 0.0000 -1.3655 -2.8596 8.0862" Properties=species:S:1:pos:R:3 pbc="T T T"
Pb -0.6545 1.2231 3.1544
Pb -0.7445 -0.8720 5.8438
Pb 0.3840 7.4450 0.1764
Pb 3.2663 -2.4224 7.9099
Pb 4.3948 5.8947 2.2425
Pb 4.3048 3.7996 4.9318
W 0.3962 3.6793 0.9517
W 0.7235 2.4624 6.4130
W 0.9710 5.0910 3.6854
W 2.6792 -0.0684 4.4008
W 2.9267 2.5603 1.6733
W 3.2541 1.3434 7.1345
N -0.9659 1.8122 7.3097
N 1.0894 -1.0710 3.9022
N 1.4999 2.1183 0.4731
N 0.6970 3.7960 5.0343
N 1.9585 4.1108 2.2795
N 1.6918 0.9119 5.8068
N 2.9532 1.2266 3.0519
N 2.1503 2.9044 7.6132
N 2.5608 6.0937 4.1840
N 4.6162 3.2105 0.7766
```

Peak list (8 most intense, 10° ≤ 2θ ≤ 80°, by angle)
- d 3.612, intensity 28
- d 3.272, intensity 37
- d 3.017, intensity 100
- d 2.910, intensity 61
- d 2.888, intensity 34
- d 2.682, intensity 39
- d 2.628, intensity 22
- d 2.550, intensity 30

***

No. 5
The following is a calculated powder diffractogram of Pr2Al3Ag. It was derived from a cell relaxed with PBE, using Cu Kα X-rays.
Intensities are scaled so that the largest is 100.

Cell and atoms:
```
6
Lattice="3.8164 0.0000 0.0000 0.0000 4.6407 0.0000 0.0000 0.0000 8.0762" Properties=species:S:1:pos:R:3 pbc="T T T"
Pr 0.0000 0.0000 0.0000
Pr 0.0000 2.3203 3.9244
Al 1.9082 0.0000 2.6470
Al 1.9082 2.3203 1.2746
Al 1.9082 2.3203 6.6793
Ag 1.9082 0.0000 5.3491
```

Peak list (8 most intense, 10° ≤ 2θ ≤ 80°, by angle)
- d 4.028, intensity 34
- d 2.771, intensity 100
- d 2.329, intensity 31
- d 2.320, intensity 15
- d 1.785, intensity 9
- d 1.780, intensity 18
- d 1.476, intensity 14
- d 1.416, intensity 16

***

Number 3 is which compound?
MgCuN